Entry 1:
The following is a simulated X-ray powder pattern of V4Cd3P6O24. It was derived from DFT lattice parameters and positions (GGA+U), using Cu Kα.
No peak broadening, texture or thermal motion is included.

Structural model:
a b c (Å): 6.576 8.904 8.930
angles (deg): 89.86 71.93 72.29
Space group P1 (No. 1)
One atom of each set of equivalent atoms:
V1 0.000 0.000 0.000 x1
V2 0.232 0.443 0.452 x1
V3 0.502 0.684 0.315 x1
V4 0.736 0.129 0.762 x1
Cd1 0.118 0.319 0.125 x1
Cd2 0.397 0.583 0.901 x1
Cd3 0.623 0.813 0.632 x1
P1 0.012 0.709 0.240 x1
P2 0.121 0.779 0.662 x1
P3 0.230 0.208 0.742 x1
P4 0.505 0.921 0.025 x1
P5 0.617 0.346 0.104 x1
P6 0.726 0.420 0.524 x1
O1 0.012 0.869 0.176 x1
O2 0.048 0.117 0.795 x1
O3 0.084 0.583 0.099 x1
O4 0.100 0.615 0.638 x1
O5 0.145 0.802 0.829 x1
O6 0.179 0.344 0.865 x1
O7 0.188 0.656 0.331 x1
O8 0.225 0.268 0.580 x1
O9 0.272 0.046 0.043 x1
O10 0.335 0.800 0.536 x1
O11 0.402 0.327 0.230 x1
O12 0.464 0.081 0.721 x1
O13 0.511 0.859 0.185 x1
O14 0.548 0.474 0.433 x1
O15 0.557 0.783 0.901 x1
O16 0.595 0.324 0.936 x1
O17 0.632 0.514 0.124 x1
O18 0.662 0.548 0.662 x1
O19 0.688 0.009 0.968 x1
O20 0.725 0.261 0.588 x1
O21 0.778 0.721 0.359 x1
O22 0.831 0.219 0.119 x1
O23 0.907 0.908 0.648 x1
O24 0.960 0.406 0.402 x1

Largest 8 diffraction maxima, most intense first, 2θ from 10° to 80°:
32.5 deg, 2.755 Å, rel. 100; 14.1 deg, 6.297 Å, rel. 88; 10.5 deg, 8.442 Å, rel. 68; 31.5 deg, 2.844 Å, rel. 60; 20.9 deg, 4.252 Å, rel. 49; 15.2 deg, 5.819 Å, rel. 42; 24.5 deg, 3.631 Å, rel. 30; 30.0 deg, 2.980 Å, rel. 28



Entry 2:
The following is a simulated X-ray powder pattern of VCdPO7. It was derived from DFT lattice parameters and positions (GGA+U), using Cu Kα.
No peak broadening, texture or thermal motion is included.

Structural model:
a b c (Å): 5.531 6.982 7.480
angles (deg): 90.00 106.67 90.00
Space group P2_1 (No. 4)
One atom of each set of equivalent atoms:
V1 0.044 0.000 0.039 x2
Cd1 0.493 0.469 0.510 x2
P1 0.054 0.217 0.659 x2
O1 0.096 0.029 0.782 x2
O2 0.108 0.400 0.784 x2
O3 0.119 0.718 0.996 x2
O4 0.221 0.723 0.466 x2
O5 0.251 0.211 0.550 x2
O6 0.281 0.438 0.182 x2
O7 0.333 0.053 0.175 x2

Largest 8 diffraction maxima, most intense first, 2θ from 10° to 80°:
17.7 deg, 5.001 Å, rel. 100; 31.2 deg, 2.863 Å, rel. 61; 12.4 deg, 7.165 Å, rel. 44; 23.6 deg, 3.774 Å, rel. 44; 24.9 deg, 3.583 Å, rel. 31; 36.6 deg, 2.458 Å, rel. 30; 35.0 deg, 2.563 Å, rel. 27; 25.5 deg, 3.491 Å, rel. 25



Entry 3:
The following is a simulated X-ray powder pattern of V2CdP4O14. It was derived from DFT lattice parameters and positions (GGA+U), using Cu Kα.
No peak broadening, texture or thermal motion is included.

Structural model:
a b c (Å): 4.887 7.075 7.956
angles (deg): 89.46 87.08 73.48
Space group P-1 (No. 2)
One atom of each set of equivalent atoms:
V1 0.000 0.000 0.000 x1
V2 0.500 0.500 0.500 x1
Cd1 0.000 0.000 0.500 x1
P1 0.023 0.384 0.748 x2
P2 0.386 0.211 0.220 x2
O1 0.074 0.224 0.878 x2
O2 0.116 0.673 0.410 x2
O3 0.178 0.082 0.230 x2
O4 0.209 0.431 0.168 x2
O5 0.292 0.444 0.703 x2
O6 0.388 0.845 0.921 x2
O7 0.498 0.773 0.604 x2

Largest 8 diffraction maxima, most intense first, 2θ from 10° to 80°:
29.3 deg, 3.045 Å, rel. 100; 26.0 deg, 3.429 Å, rel. 79; 23.2 deg, 3.839 Å, rel. 78; 11.1 deg, 7.945 Å, rel. 55; 28.0 deg, 3.190 Å, rel. 54; 28.7 deg, 3.113 Å, rel. 52; 30.7 deg, 2.913 Å, rel. 52; 19.0 deg, 4.679 Å, rel. 41